Diffraction record for Ba2CrH4. The PXRD pattern is theoretical, not measured: it uses a structure optimized by DFT (GGA-PBE) and a wavelength of 1.5418 Å.
Kinematic intensities with the Lorentz-polarization factor, no thermal factor.

Cell and atoms:
```
data_Ba2CrH4
_cell_length_a 3.9346
_cell_length_b 3.9346
_cell_length_c 16.7520
_cell_angle_alpha 90.00
_cell_angle_beta 90.00
_cell_angle_gamma 90.00
_symmetry_space_group_name_H-M 'I 4/m m m'
_symmetry_Int_Tables_number 139
_symmetry_space_group_name_Hall '-I 4 2'
loop_
_atom_site_label
_atom_site_fract_x
_atom_site_fract_y
_atom_site_fract_z
_atom_site_occupancy
Ba1 0.0000 0.0000 0.1282 1
Cr1 0.0000 0.0000 0.5000 1
H1 0.0000 0.0000 0.3922 1
H2 0.0000 0.5000 0.0000 1
```

Largest 8 diffraction maxima, by intensity, 2θ from 10° to 90°:
(1 0 3), d 3.216, rel. 100; (1 1 0), d 2.782, rel. 55; (1 0 5), d 2.551, rel. 40; (1 0 1), d 3.830, rel. 38; (0 0 4), d 4.188, rel. 33; (1 1 4), d 2.317, rel. 29; (2 1 3), d 1.678, rel. 29; (2 0 0), d 1.968, rel. 23

Diffraction record for CaIr2Rh. The PXRD pattern is theoretical, not measured: it uses a structure optimized by DFT (GGA-PBE) and a wavelength of 1.5418 Å.
Kinematic intensities with the Lorentz-polarization factor, no thermal factor.

Cell and atoms:
```
data_CaIr2Rh
_cell_length_a 2.8420
_cell_length_b 4.7206
_cell_length_c 10.1175
_cell_angle_alpha 90.00
_cell_angle_beta 90.00
_cell_angle_gamma 90.00
_symmetry_space_group_name_H-M 'I m m 2'
_symmetry_Int_Tables_number 44
loop_
_symmetry_equiv_pos_as_xyz
'x,y,z'
'-x,-y,z'
'-x,y,z'
'x,-y,z'
'x+1/2,y+1/2,z+1/2'
'-x+1/2,-y+1/2,z+1/2'
'-x+1/2,y+1/2,z+1/2'
'x+1/2,-y+1/2,z+1/2'
loop_
_atom_site_label
_atom_site_fract_x
_atom_site_fract_y
_atom_site_fract_z
_atom_site_occupancy
Ca1 0.0000 0.0000 0.0000 1
Ir1 0.0000 0.0000 0.4976 1
Ir2 0.0000 0.5000 0.7787 1
Rh1 0.0000 0.5000 0.2228 1
```

Largest 8 diffraction maxima, by intensity, 2θ from 10° to 90°:
(1 1 2), d 2.194, rel. 100; (0 1 1), d 4.278, rel. 51; (0 2 0), d 2.360, rel. 33; (0 0 4), d 2.529, rel. 30; (1 3 2), d 1.328, rel. 20; (0 2 4), d 1.726, rel. 19; (1 0 3), d 2.173, rel. 18; (0 1 5), d 1.860, rel. 17

Diffraction record for RbTiF4. The PXRD pattern is theoretical, not measured: it uses a structure optimized by DFT (GGA-PBE) and a wavelength of 1.5418 Å.
Kinematic intensities with the Lorentz-polarization factor, no thermal factor.

Cell and atoms:
```
data_RbTiF4
_cell_length_a 5.5278
_cell_length_b 5.5278
_cell_length_c 6.6351
_cell_angle_alpha 90.00
_cell_angle_beta 90.00
_cell_angle_gamma 90.00
_symmetry_space_group_name_H-M 'P 4/m b m'
_symmetry_Int_Tables_number 127
_symmetry_space_group_name_Hall '-P 4 2ab'
loop_
_atom_site_label
_atom_site_fract_x
_atom_site_fract_y
_atom_site_fract_z
_atom_site_occupancy
Rb1 0.0000 0.5000 0.0000 1
Ti1 0.0000 0.0000 0.5000 1
F1 0.0000 0.0000 0.2069 1
F2 0.1954 0.3046 0.5000 1
```

Largest 8 diffraction maxima, by intensity, 2θ from 10° to 90°:
(1 1 1), d 3.368, rel. 100; (2 0 0), d 2.764, rel. 43; (1 1 3), d 1.925, rel. 34; (0 0 2), d 3.318, rel. 34; (3 1 1), d 1.690, rel. 32; (2 2 0), d 1.954, rel. 27; (3 1 3), d 1.371, rel. 24; (2 0 1), d 2.551, rel. 21

Diffraction record for LaZrSb3. The PXRD pattern is theoretical, not measured: it uses a structure optimized by DFT (GGA-PBE) and a wavelength of 1.5418 Å.
Kinematic intensities with the Lorentz-polarization factor, no thermal factor.

Cell and atoms:
```
data_LaZrSb3
_cell_length_a 13.7736
_cell_length_b 6.3978
_cell_length_c 6.4709
_cell_angle_alpha 90.00
_cell_angle_beta 90.00
_cell_angle_gamma 90.00
_symmetry_space_group_name_H-M 'P b c m'
_symmetry_Int_Tables_number 57
loop_
_symmetry_equiv_pos_as_xyz
'x,y,z'
'-x,-y,-z'
'-x,-y,z+1/2'
'x,y,-z+1/2'
'x,-y+1/2,-z'
'-x,y+1/2,z'
'-x,y+1/2,-z+1/2'
'x,-y+1/2,z+1/2'
loop_
_atom_site_label
_atom_site_fract_x
_atom_site_fract_y
_atom_site_fract_z
_atom_site_occupancy
La1 0.1813 0.0101 0.2500 1
Zr1 0.4117 0.7500 0.0000 1
Sb1 0.0028 0.7500 0.0000 1
Sb2 0.2672 0.5067 0.2500 1
Sb3 0.4194 0.1266 0.2500 1
```

Largest 8 diffraction maxima, by intensity, 2θ from 10° to 90°:
(2 2 0), d 2.901, rel. 100; (4 1 1), d 2.746, rel. 86; (0 2 2), d 2.275, rel. 81; (2 0 2), d 2.928, rel. 70; (0 0 2), d 3.232, rel. 64; (5 0 0), d 2.755, rel. 41; (3 1 2), d 2.444, rel. 32; (2 2 4), d 1.412, rel. 32

Diffraction record for Ce2Pm3NdAs6. The PXRD pattern is theoretical, not measured: it uses a structure optimized by DFT (GGA-PBE) and a wavelength of 1.5418 Å.
Kinematic intensities with the Lorentz-polarization factor, no thermal factor.

Cell and atoms:
```
data_Ce2Pm3NdAs6
_cell_length_a 18.4526
_cell_length_b 4.2381
_cell_length_c 8.4766
_cell_angle_alpha 90.00
_cell_angle_beta 103.24
_cell_angle_gamma 90.00
_symmetry_space_group_name_H-M 'C 1 2/m 1'
_symmetry_Int_Tables_number 12
loop_
_symmetry_equiv_pos_as_xyz
'x,y,z'
'-x,-y,-z'
'-x,y,-z'
'x,-y,z'
'x+1/2,y+1/2,z'
'-x+1/2,-y+1/2,-z'
'-x+1/2,y+1/2,-z'
'x+1/2,-y+1/2,z'
loop_
_atom_site_label
_atom_site_fract_x
_atom_site_fract_y
_atom_site_fract_z
_atom_site_occupancy
Ce1 0.1665 0.0000 0.3327 1
Pm1 0.0000 0.5000 0.5000 1
Pm2 0.1659 0.0000 0.8340 1
Nd1 0.0000 0.5000 0.0000 1
As1 0.0014 0.0000 0.2524 1
As2 0.1674 0.5000 0.0868 1
As3 0.1676 0.5000 0.5812 1
```

Largest 8 diffraction maxima, by intensity, 2θ from 10° to 90°:
(6 0 0), d 2.996, rel. 100; (5 1 2), d 2.118, rel. 75; (8 2 -4), d 1.340, rel. 34; (6 2 0), d 1.730, rel. 26; (12 2 0), d 1.223, rel. 23; (3 1 0), d 3.459, rel. 17; (12 0 0), d 1.498, rel. 12; (8 0 2), d 1.807, rel. 8

Diffraction record for Y3ZnSi3. The PXRD pattern is theoretical, not measured: it uses a structure optimized by DFT (GGA-PBE) and a wavelength of 1.5418 Å.
Kinematic intensities with the Lorentz-polarization factor, no thermal factor.

Cell and atoms:
```
data_Y3ZnSi3
_cell_length_a 3.9269
_cell_length_b 4.2114
_cell_length_c 17.8362
_cell_angle_alpha 90.00
_cell_angle_beta 90.00
_cell_angle_gamma 90.00
_symmetry_space_group_name_H-M 'I m m 2'
_symmetry_Int_Tables_number 44
loop_
_symmetry_equiv_pos_as_xyz
'x,y,z'
'-x,-y,z'
'-x,y,z'
'x,-y,z'
'x+1/2,y+1/2,z+1/2'
'-x+1/2,-y+1/2,z+1/2'
'-x+1/2,y+1/2,z+1/2'
'x+1/2,-y+1/2,z+1/2'
loop_
_atom_site_label
_atom_site_fract_x
_atom_site_fract_y
_atom_site_fract_z
_atom_site_occupancy
Y1 0.0000 0.0000 0.0000 1
Y2 0.0000 0.0000 0.3707 1
Y3 0.0000 0.5000 0.6903 1
Zn1 0.0000 0.5000 0.1189 1
Si1 0.0000 0.0000 0.5405 1
Si2 0.0000 0.0000 0.8323 1
Si3 0.0000 0.5000 0.2512 1
```

Largest 8 diffraction maxima, by intensity, 2θ from 10° to 90°:
(1 1 2), d 2.734, rel. 100; (0 1 5), d 2.722, rel. 54; (1 0 3), d 3.277, rel. 30; (1 0 7), d 2.137, rel. 24; (0 2 0), d 2.106, rel. 24; (2 1 5), d 1.592, rel. 20; (2 0 0), d 1.963, rel. 19; (1 0 9), d 1.770, rel. 19

Diffraction record for La4Pr2Sm2Mg. The PXRD pattern is theoretical, not measured: it uses a structure optimized by DFT (GGA-PBE) and a wavelength of 1.5418 Å.
Kinematic intensities with the Lorentz-polarization factor, no thermal factor.

Cell and atoms:
```
data_La4Pr2Sm2Mg
_cell_length_a 6.3040
_cell_length_b 6.3648
_cell_length_c 8.1630
_cell_angle_alpha 75.03
_cell_angle_beta 82.41
_cell_angle_gamma 80.52
_symmetry_space_group_name_H-M 'P -1'
_symmetry_Int_Tables_number 2
loop_
_symmetry_equiv_pos_as_xyz
'x,y,z'
'-x,-y,-z'
loop_
_atom_site_label
_atom_site_fract_x
_atom_site_fract_y
_atom_site_fract_z
_atom_site_occupancy
La1 0.0495 0.2819 0.3918 1
La2 0.1716 0.8350 0.1648 1
Pr1 0.2786 0.3896 0.9368 1
Sm1 0.3933 0.9415 0.7154 1
Mg1 0.5000 0.5000 0.5000 1
```

Largest 8 diffraction maxima, by intensity, 2θ from 10° to 90°:
(1 2 1), d 2.991, rel. 100; (2 0 1), d 2.978, rel. 99; (3 2 2), d 1.823, rel. 35; (3 3 0), d 1.557, rel. 35; (1 -2 0), d 2.596, rel. 34; (1 1 3), d 2.583, rel. 33; (2 1 -1), d 2.574, rel. 33; (1 3 -1), d 1.834, rel. 24

Diffraction record for NaLaPu2Se4. The PXRD pattern is theoretical, not measured: it uses a structure optimized by DFT (GGA-PBE) and a wavelength of 1.5418 Å.
Kinematic intensities with the Lorentz-polarization factor, no thermal factor.

Cell and atoms:
```
data_NaLaPu2Se4
_cell_length_a 7.2376
_cell_length_b 4.2087
_cell_length_c 7.2937
_cell_angle_alpha 90.00
_cell_angle_beta 90.56
_cell_angle_gamma 90.00
_symmetry_space_group_name_H-M 'P 1 2/m 1'
_symmetry_Int_Tables_number 10
loop_
_symmetry_equiv_pos_as_xyz
'x,y,z'
'-x,-y,-z'
'-x,y,-z'
'x,-y,z'
loop_
_atom_site_label
_atom_site_fract_x
_atom_site_fract_y
_atom_site_fract_z
_atom_site_occupancy
Na1 0.0000 0.0000 0.0000 1
La1 0.5000 0.5000 0.5000 1
Pu1 0.0000 0.0000 0.5000 1
Pu2 0.5000 0.5000 0.0000 1
Se1 0.1643 0.5000 0.7408 1
Se2 0.3353 0.0000 0.2427 1
```

Largest 8 diffraction maxima, by intensity, 2θ from 10° to 90°:
(1 1 -2), d 2.582, rel. 100; (1 1 0), d 3.641, rel. 90; (1 1 2), d 2.570, rel. 78; (3 1 0), d 2.093, rel. 53; (2 0 -1), d 3.251, rel. 47; (2 0 2), d 2.558, rel. 42; (0 2 0), d 2.105, rel. 35; (4 0 -2), d 1.626, rel. 31